No. 1
Structure and simulated powder XRD pattern of AcPrCuO4 (a structure optimized by DFT (GGA-PBE); CuKα).
Intensities are scaled so that the largest is 100.

Crystal structure
Cell: 3.8252 3.8252 13.4752 Å, 90.00 90.00 90.00°
Atoms (fractional coordinates):
Ac: 0.0000 0.0000 0.0000
Ac: 0.5000 0.5000 0.5000
Pr: 0.0000 0.0000 0.7239
Pr: 0.5000 0.5000 0.2239
Cu: 0.0000 0.0000 0.3529
Cu: 0.5000 0.5000 0.8529
O: 0.0000 0.0000 0.1794
O: 0.0000 0.0000 0.5475
O: 0.0000 0.5000 0.3536
O: 0.0000 0.5000 0.8536
O: 0.5000 0.0000 0.3536
O: 0.5000 0.0000 0.8536
O: 0.5000 0.5000 0.0475
O: 0.5000 0.5000 0.6794

Main lines, in order of rising 2θ (2θ = 5–70°):
2θ 24.19, intensity 39; 2θ 30.70, intensity 100; 2θ 33.12, intensity 62; 2θ 42.88, intensity 32; 2θ 47.54, intensity 29; 2θ 57.66, intensity 35

---

No. 2
Structure and simulated powder XRD pattern of Li2Sn3Hg3 (a structure optimized by DFT (GGA-PBE); CuKα).
Intensities are scaled so that the largest is 100.

Crystal structure
Cell: 6.0288 6.0288 14.3647 Å, 90.00 90.00 134.30°
Atoms (fractional coordinates):
Li: 0.2099 0.7901 0.6203
Li: 0.2099 0.7901 0.8797
Li: 0.7901 0.2099 0.1203
Li: 0.7901 0.2099 0.3797
Sn: 0.0702 0.9298 0.1056
Sn: 0.0702 0.9298 0.3944
Sn: 0.3277 0.6723 0.2500
Sn: 0.6723 0.3277 0.7500
Sn: 0.9298 0.0702 0.6056
Sn: 0.9298 0.0702 0.8944
Hg: 0.3647 0.6353 0.0354
Hg: 0.3647 0.6353 0.4646
Hg: 0.3940 0.6060 0.7500
Hg: 0.6060 0.3940 0.2500
Hg: 0.6353 0.3647 0.5354
Hg: 0.6353 0.3647 0.9646

Main lines, in order of rising 2θ (2θ = 5–70°):
2θ 27.83, intensity 37; 2θ 30.78, intensity 59; 2θ 32.22, intensity 32; 2θ 32.44, intensity 100; 2θ 36.17, intensity 69; 2θ 38.45, intensity 45

---

No. 3
Structure and simulated powder XRD pattern of CrNiHIr (a structure optimized by DFT (GGA-PBE); CuKα).
Intensities are scaled so that the largest is 100.

Crystal structure
Cell: 2.6814 2.6814 19.5313 Å, 90.00 90.00 120.00°
Atoms (fractional coordinates):
Cr: 0.0000 0.0000 0.0000
Cr: 0.3333 0.6667 0.6667
Cr: 0.6667 0.3333 0.3333
Ni: 0.0000 0.0000 0.2261
Ni: 0.3333 0.6667 0.8928
Ni: 0.6667 0.3333 0.5594
H: 0.0000 0.0000 0.5273
H: 0.3333 0.6667 0.1940
H: 0.6667 0.3333 0.8606
Ir: 0.0000 0.0000 0.7682
Ir: 0.3333 0.6667 0.4348
Ir: 0.6667 0.3333 0.1015

Main lines, in order of rising 2θ (2θ = 5–70°):
2θ 13.60, intensity 100; 2θ 39.06, intensity 35; 2θ 39.90, intensity 55; 2θ 41.62, intensity 37; 2θ 43.14, intensity 94; 2θ 45.44, intensity 53

---

No. 4
Structure and simulated powder XRD pattern of Ce5Ge5Rh2 (a structure optimized by DFT (GGA-PBE); CuKα).
Intensities are scaled so that the largest is 100.

Crystal structure
Cell: 7.9192 7.9192 11.0620 Å, 129.10 129.10 30.81°
Atoms (fractional coordinates):
Ce: 0.0000 0.0000 0.0000
Ce: 0.2959 0.2959 0.3994
Ce: 0.3772 0.3772 0.2068
Ce: 0.6228 0.6228 0.7932
Ce: 0.7041 0.7041 0.6006
Ge: 0.0000 0.0000 0.5000
Ge: 0.0602 0.0602 0.3249
Ge: 0.3054 0.3054 0.8811
Ge: 0.6946 0.6946 0.1189
Ge: 0.9398 0.9398 0.6751
Rh: 0.3906 0.3906 0.7437
Rh: 0.6094 0.6094 0.2563

Main lines, in order of rising 2θ (2θ = 5–70°):
2θ 31.50, intensity 100; 2θ 34.53, intensity 56; 2θ 34.77, intensity 47; 2θ 36.45, intensity 32; 2θ 40.51, intensity 86; 2θ 43.00, intensity 42

---

No. 5
Structure and simulated powder XRD pattern of CaAc4Y (a structure optimized by DFT (GGA-PBE); CuKα).
Intensities are scaled so that the largest is 100.

Crystal structure
Cell: 10.1005 6.8371 7.4221 Å, 90.00 96.10 90.00°
Atoms (fractional coordinates):
Ca: 0.0000 0.0771 0.2500
Ca: 0.0000 0.9229 0.7500
Ac: 0.1737 0.4215 0.9219
Ac: 0.1737 0.5785 0.4219
Ac: 0.3380 0.0900 0.5832
Ac: 0.3380 0.9100 0.0832
Ac: 0.6620 0.0900 0.9168
Ac: 0.6620 0.9100 0.4168
Ac: 0.8263 0.4215 0.5781
Ac: 0.8263 0.5785 0.0781
Y: 0.5000 0.4202 0.2500
Y: 0.5000 0.5798 0.7500

Main lines, in order of rising 2θ (2θ = 5–70°):
2θ 26.02, intensity 23; 2θ 28.45, intensity 25; 2θ 29.72, intensity 100; 2θ 38.94, intensity 16; 2θ 51.18, intensity 22; 2θ 54.93, intensity 16